Entry 1:
Diffraction record for BaY2PtO5. The PXRD pattern is calculated, not measured: it uses a DFT-relaxed cell (PBE, Alexandria) and copper Kα.
Lines closer than 0.1° are merged.

Structure:
Lattice parameters (Å, degrees): 6.613 6.613 5.953 90.00 90.00 90.00
Positions (direct):
Ba: 0.000 0.000 0.000
Ba: 0.500 0.500 0.000
Y: 0.175 0.325 0.500
Y: 0.325 0.825 0.500
Y: 0.675 0.175 0.500
Y: 0.825 0.675 0.500
Pt: 0.000 0.500 0.000
Pt: 0.500 0.000 0.000
O: 0.000 0.000 0.500
O: 0.139 0.639 0.262
O: 0.139 0.639 0.738
O: 0.361 0.139 0.262
O: 0.361 0.139 0.738
O: 0.500 0.500 0.500
O: 0.639 0.861 0.262
O: 0.639 0.861 0.738
O: 0.861 0.361 0.262
O: 0.861 0.361 0.738

Principal peaks in the range 2θ from 10° to 80°, most intense first:
- 30.94 deg, I 1000, hkl 2 0 1
- 30.02 deg, I 327, hkl 0 0 2
- 38.51 deg, I 264, hkl 2 2 0
- 49.58 deg, I 249, hkl 2 2 2
- 53.89 deg, I 208, hkl 2 0 3
- 26.97 deg, I 204, hkl 2 0 0
- 40.79 deg, I 166, hkl 2 0 2
- 41.50 deg, I 160, hkl 2 2 1
- 33.85 deg, I 150, hkl 2 1 1
- 43.12 deg, I 147, hkl 2 1 2


Entry 2:
Diffraction record for Ac2CeTmSe4. The PXRD pattern is calculated, not measured: it uses a DFT-relaxed cell (PBE, Alexandria) and copper Kα.
Lines closer than 0.1° are merged.

Structure:
Lattice parameters (Å, degrees): 7.350 4.205 7.618 90.00 108.40 90.00
Positions (direct):
Ac: 0.000 0.000 0.000
Ac: 0.500 0.500 0.000
Ce: 0.000 0.500 0.500
Tm: 0.500 0.000 0.500
Se: 0.251 0.000 0.726
Se: 0.269 0.500 0.280
Se: 0.731 0.500 0.720
Se: 0.749 0.000 0.274

Principal peaks in the range 2θ from 10° to 80°, most intense first:
- 29.45 deg, I 1000, hkl 1 1 1
- 41.56 deg, I 252, hkl 1 1 -3
- 42.71 deg, I 246, hkl 3 1 -1
- 25.78 deg, I 151, hkl 1 1 -1
- 52.99 deg, I 130, hkl 2 2 -2
- 41.26 deg, I 128, hkl 2 0 2
- 61.12 deg, I 126, hkl 2 2 2
- 43.02 deg, I 122, hkl 0 2 0
- 68.44 deg, I 119, hkl 0 2 4
- 70.11 deg, I 112, hkl 4 2 0